Diffraction record for NiSnHg3. The powder diffraction line list is theoretical, not measured: it uses a crystal structure in Alexandria, relaxed with GGA-PBE and Cu Ka.

Structural model:
abc: 5.0139 5.0139 5.0139
angles: 90.00 90.00 90.00
Atoms (fractional coordinates):
Ni (0.0000, 0.0000, 0.0000)
Sn (0.5000, 0.5000, 0.5000)
Hg (0.0000, 0.0000, 0.5000)
Hg (0.0000, 0.5000, 0.0000)
Hg (0.5000, 0.0000, 0.0000)

Most intense lines, 10 to 90 degrees two-theta, most intense first:
two_theta  I_rel  hkl
30.89  100  1 1 1
35.82  73  2 0 0
51.56  53  2 2 0
61.32  45  3 1 1
86.88  25  4 2 0
84.17  20  3 3 1
64.37  18  2 2 2
17.69  14  1 0 0
75.91  9  4 0 0
40.22  7  2 1 0
54.94  3  3 0 0
78.69  2  4 1 0